The following is a computed powder diffraction line list of Ac2La15Y2. It was derived from DFT lattice parameters and positions (GGA-PBE), using λ = 1.5418 Å (Cu Kα).
Kinematic intensities with the Lorentz-polarization factor, no thermal factor.

Most intense lines, 15° ≤ 2θ ≤ 90°, most intense first:
Position (°2θ)	I_rel
30.26	1000
30.46	417
26.33	363
33.97	307
54.09	242
29.61	234
52.92	169
21.11	127
48.94	123
25.18	105

Crystal structure
```
19
Lattice="5.870 3.389 6.034 -5.870 3.389 6.034 0.000 -6.778 6.034" Properties=species:S:1:pos:R:3 pbc="T T T"
Ac 0.000 0.000 3.097
Ac 0.000 0.000 15.005
La -2.935 -1.695 6.034
La 0.000 -3.501 5.572
La -3.032 1.750 5.572
La -1.719 -2.977 9.051
La -3.438 0.000 9.051
La -3.032 -1.750 12.530
La -2.935 1.695 12.068
La 1.719 -2.977 9.051
La 0.000 3.389 6.034
La -1.719 2.977 9.051
La 3.032 1.750 5.572
La 3.438 0.000 9.051
La 1.719 2.977 9.051
La 3.032 -1.750 12.530
La 0.000 3.501 12.530
Y 0.000 0.000 7.330
Y 0.000 0.000 10.772
```


The following is a computed powder diffraction line list of Ac6La7Y16. It was derived from DFT lattice parameters and positions (GGA-PBE), using λ = 1.5418 Å (Cu Kα).
Kinematic intensities with the Lorentz-polarization factor, no thermal factor.

Most intense lines, 15° ≤ 2θ ≤ 90°, most intense first:
Position (°2θ)	I_rel
30.68	1000
54.54	308
88.83	166
43.94	141
49.45	136
21.56	123
26.49	118
34.40	103
24.14	100
72.53	100

Crystal structure
```
29
Lattice="0.000 8.243 8.243 8.243 0.000 8.243 8.243 8.243 0.000" Properties=species:S:1:pos:R:3 pbc="T T T"
Ac 8.243 8.243 4.040
Ac 8.243 4.040 8.243
Ac 12.447 8.243 8.243
Ac 4.040 8.243 8.243
Ac 8.243 12.447 8.243
Ac 8.243 8.243 12.447
La 4.122 4.122 0.000
La 4.122 0.000 4.122
La 8.243 4.122 4.122
La 0.000 4.122 4.122
La 4.122 8.243 4.122
La 4.122 4.122 8.243
La 8.243 8.243 8.243
Y 10.388 6.098 6.098
Y 2.629 2.629 2.629
Y 5.614 5.614 2.629
Y 5.614 2.629 5.614
Y 6.098 6.098 6.098
Y 10.388 10.388 6.098
Y 10.388 6.098 10.388
Y 13.858 10.872 10.872
Y 2.629 5.614 5.614
Y 6.098 10.388 6.098
Y 6.098 6.098 10.388
Y 10.388 10.388 10.388
Y 10.872 13.858 10.872
Y 10.872 10.872 13.858
Y 13.858 13.858 13.858
Y 6.098 10.388 10.388
```


The following is a computed powder diffraction line list of Ac3LaY4. It was derived from DFT lattice parameters and positions (GGA-PBE), using λ = 1.5418 Å (Cu Kα).
Kinematic intensities with the Lorentz-polarization factor, no thermal factor.

Most intense lines, 15° ≤ 2θ ≤ 90°, most intense first:
Position (°2θ)	I_rel
29.18	1000
33.97	335
57.87	291
48.46	248
33.52	174
57.28	151
60.50	128
48.80	121
78.50	121
16.80	86

Crystal structure
```
16
Lattice="10.695 0.000 0.000 0.000 7.464 0.000 0.000 0.000 7.466" Properties=species:S:1:pos:R:3 pbc="T T T"
Ac 0.000 0.006 0.000
Ac 2.679 1.909 5.598
Ac 2.669 5.555 1.865
Ac 5.347 7.458 3.733
Ac 8.016 1.909 5.598
Ac 8.026 5.555 1.865
La 0.000 3.727 3.729
La 5.347 3.737 7.463
Y 0.000 0.000 3.734
Y 0.000 3.734 7.461
Y 2.677 1.858 1.865
Y 2.670 5.606 5.598
Y 5.347 7.464 0.001
Y 5.347 3.730 3.728
Y 8.018 1.858 1.865
Y 8.025 5.606 5.598
```


The following is a computed powder diffraction line list of Ac6La2Y. It was derived from DFT lattice parameters and positions (GGA-PBE), using λ = 1.5418 Å (Cu Kα).
Kinematic intensities with the Lorentz-polarization factor, no thermal factor.

Most intense lines, 15° ≤ 2θ ≤ 90°, most intense first:
Position (°2θ)	I_rel
30.62	1000
29.15	479
26.37	445
27.69	411
55.02	376
46.54	366
51.78	341
38.61	276
56.74	180
26.55	168

Crystal structure
```
9
Lattice="3.903 0.000 0.000 -1.951 3.380 0.000 0.000 0.000 28.990" Properties=species:S:1:pos:R:3 pbc="T T T"
Ac 0.000 0.000 1.893
Ac 0.000 0.000 8.203
Ac 0.000 0.000 20.787
Ac 0.000 0.000 27.097
Ac 0.000 2.253 11.509
Ac 0.000 2.253 17.480
La 0.000 2.253 4.994
La 0.000 2.253 23.996
Y 0.000 0.000 14.495
```


The following is a computed powder diffraction line list of Ac8La2Y3. It was derived from DFT lattice parameters and positions (GGA-PBE), using λ = 1.5418 Å (Cu Kα).
Kinematic intensities with the Lorentz-polarization factor, no thermal factor.

Most intense lines, 15° ≤ 2θ ≤ 90°, most intense first:
Position (°2θ)	I_rel
28.48	1000
32.03	728
28.83	472
28.99	469
35.58	267
54.83	158
54.98	157
45.80	135
46.07	133
20.72	132

Crystal structure
```
13
Lattice="6.456 0.000 0.000 2.291 9.434 0.000 1.614 4.431 9.058" Properties=species:S:1:pos:R:3 pbc="T T T"
Ac 1.566 5.581 3.264
Ac 2.393 9.089 1.950
Ac 5.502 7.662 7.811
Ac 3.954 2.518 2.581
Ac 6.407 11.346 6.477
Ac 4.860 6.203 1.247
Ac 7.968 4.775 7.108
Ac 8.796 8.284 5.794
La 3.267 10.704 8.438
La 7.094 3.161 0.620
Y 0.807 2.215 4.529
Y 4.776 5.281 4.970
Y 5.585 8.584 4.088
```


The following is a computed powder diffraction line list of AcLa3Zn4. It was derived from DFT lattice parameters and positions (GGA-PBE), using λ = 1.5418 Å (Cu Kα).
Kinematic intensities with the Lorentz-polarization factor, no thermal factor.

Most intense lines, 15° ≤ 2θ ≤ 90°, most intense first:
Position (°2θ)	I_rel
33.34	1000
59.58	364
23.41	173
47.83	122
70.02	110
79.74	106
47.94	57
41.14	55
53.91	51
79.91	46

Crystal structure
```
8
Lattice="3.803 0.000 0.000 0.000 3.803 0.000 0.000 0.000 15.181" Properties=species:S:1:pos:R:3 pbc="T T T"
Ac 0.000 0.000 0.000
La 0.000 0.000 3.872
La 0.000 0.000 7.591
La 0.000 0.000 11.309
Zn 1.902 1.902 2.057
Zn 1.902 1.902 5.715
Zn 1.902 1.902 9.466
Zn 1.902 1.902 13.125
```


The following is a computed powder diffraction line list of Ac6La2Zn. It was derived from DFT lattice parameters and positions (GGA-PBE), using λ = 1.5418 Å (Cu Kα).
Kinematic intensities with the Lorentz-polarization factor, no thermal factor.

Most intense lines, 15° ≤ 2θ ≤ 90°, most intense first:
Position (°2θ)	I_rel
28.28	1000
26.70	674
30.36	460
30.07	459
50.43	335
34.94	223
53.21	211
55.36	173
43.25	155
45.13	136

Crystal structure
```
9
Lattice="4.018 0.000 0.000 0.000 8.828 5.103 0.000 -8.828 5.103" Properties=species:S:1:pos:R:3 pbc="T T T"
Ac 0.000 0.000 0.000
Ac 0.000 -2.233 6.326
Ac 0.000 2.233 6.326
Ac 2.009 -5.400 4.497
Ac 2.009 0.000 3.652
Ac 2.009 5.400 4.497
La 0.000 -2.946 2.514
La 0.000 2.946 2.514
Zn 2.009 0.000 7.623
```


The following is a computed powder diffraction line list of Ac2La2Zn3. It was derived from DFT lattice parameters and positions (GGA-PBE), using λ = 1.5418 Å (Cu Kα).
Kinematic intensities with the Lorentz-polarization factor, no thermal factor.

Most intense lines, 15° ≤ 2θ ≤ 90°, most intense first:
Position (°2θ)	I_rel
32.99	1000
33.80	904
23.45	664
59.43	357
47.95	340
58.91	190
54.60	162
40.87	160
79.27	154
53.48	153

Crystal structure
```
7
Lattice="2.715 1.568 8.562 -2.715 1.568 8.562 0.000 -3.136 8.562" Properties=species:S:1:pos:R:3 pbc="T T T"
Ac 0.000 0.000 3.078
Ac 0.000 0.000 22.607
La 0.000 0.000 9.580
La 0.000 0.000 16.105
Zn 0.000 0.000 6.451
Zn 0.000 0.000 12.843
Zn 0.000 0.000 19.235
```


The following is a computed powder diffraction line list of Li11Ac. It was derived from DFT lattice parameters and positions (GGA-PBE), using λ = 1.5418 Å (Cu Kα).
Kinematic intensities with the Lorentz-polarization factor, no thermal factor.

Most intense lines, 15° ≤ 2θ ≤ 90°, most intense first:
Position (°2θ)	I_rel
20.30	1000
15.04	914
33.15	732
25.08	634
29.61	463
21.33	443
34.02	361
33.36	308
25.35	308
45.55	262

Crystal structure
```
24
Lattice="-5.892 5.892 3.925 5.892 -5.892 3.925 5.892 5.892 -3.925" Properties=species:S:1:pos:R:3 pbc="T T T"
Li 0.000 0.000 0.000
Li 2.946 2.946 -1.963
Li 2.946 -2.946 1.963
Li 5.892 -2.946 2.944
Li 4.449 -0.516 1.418
Li 7.335 -0.516 1.418
Li 2.430 1.503 0.544
Li 9.355 1.503 0.544
Li 4.449 5.376 -1.418
Li 1.443 -0.516 2.507
Li 2.430 4.389 0.544
Li 3.462 -1.503 4.470
Li 0.000 5.892 0.000
Li 2.430 7.395 -0.544
Li 3.462 1.503 3.381
Li 4.449 6.409 1.418
Li 1.443 0.516 5.344
Li -3.462 4.389 3.381
Li 3.462 4.389 3.381
Li -1.443 6.409 2.507
Li 1.443 6.409 2.507
Li 0.000 8.838 0.981
Ac 5.892 2.946 0.981
Ac 0.000 2.946 2.944
```


The following is a computed powder diffraction line list of Li2Ac3Mg7. It was derived from DFT lattice parameters and positions (GGA-PBE), using λ = 1.5418 Å (Cu Kα).
Kinematic intensities with the Lorentz-polarization factor, no thermal factor.

Most intense lines, 15° ≤ 2θ ≤ 90°, most intense first:
Position (°2θ)	I_rel
16.54	1000
26.63	879
33.75	688
28.36	679
29.11	484
33.01	401
49.17	342
54.82	298
45.90	233
17.92	213

Crystal structure
```
12
Lattice="3.147 1.817 9.898 -3.147 1.817 9.898 0.000 -3.634 9.898" Properties=species:S:1:pos:R:3 pbc="T T T"
Li 0.000 0.000 4.949
Li 0.000 0.000 24.745
Ac 0.000 0.000 10.624
Ac 0.000 0.000 14.847
Ac 0.000 0.000 19.070
Mg 0.000 0.000 0.000
Mg 0.000 -1.812 7.298
Mg -1.569 0.906 7.298
Mg -1.569 -0.906 22.396
Mg 1.569 0.906 7.298
Mg 1.569 -0.906 22.396
Mg 0.000 1.812 22.396
```


The following is a computed powder diffraction line list of Li17AcMg. It was derived from DFT lattice parameters and positions (GGA-PBE), using λ = 1.5418 Å (Cu Kα).
Kinematic intensities with the Lorentz-polarization factor, no thermal factor.

Most intense lines, 15° ≤ 2θ ≤ 90°, most intense first:
Position (°2θ)	I_rel
15.75	1000
25.46	912
18.26	899
36.64	688
28.69	497
36.97	483
21.93	479
30.49	454
24.21	378
41.21	374

Crystal structure
```
19
Lattice="4.857 2.804 5.045 -4.857 2.804 5.045 0.000 -5.609 5.045" Properties=species:S:1:pos:R:3 pbc="T T T"
Li 0.000 0.000 0.715
Li -1.542 -3.124 7.196
Li -3.477 0.227 7.196
Li 0.000 -2.551 4.747
Li -2.209 1.275 4.747
Li 0.000 0.000 3.490
Li -2.783 -1.607 9.364
Li 1.542 -3.124 7.196
Li -1.935 2.897 7.196
Li 0.000 -2.231 10.090
Li -1.932 1.115 10.090
Li 2.209 1.275 4.747
Li 2.783 -1.607 9.364
Li 0.000 3.213 9.364
Li 3.477 0.227 7.196
Li 1.935 2.897 7.196
Li 1.932 1.115 10.090
Ac 0.000 0.000 7.270
Mg 0.000 0.000 12.405
```


The following is a computed powder diffraction line list of LiAc2Mg. It was derived from DFT lattice parameters and positions (GGA-PBE), using λ = 1.5418 Å (Cu Kα).
Kinematic intensities with the Lorentz-polarization factor, no thermal factor.

Most intense lines, 15° ≤ 2θ ≤ 90°, most intense first:
Position (°2θ)	I_rel
30.95	1000
21.61	902
30.75	508
21.88	438
38.06	438
54.80	413
49.57	210
49.71	209
50.10	204
55.17	202

Crystal structure
```
4
Lattice="4.112 0.000 0.000 0.000 4.112 0.000 0.000 0.000 8.123" Properties=species:S:1:pos:R:3 pbc="T T T"
Li 0.000 0.000 0.000
Ac 2.056 2.056 2.029
Ac 2.056 2.056 6.094
Mg 0.000 0.000 4.061
```